Entry 1:
Computed PXRD pattern
Compound: PrH7Pd5
Radiation: CuKα
Structure: a DFT-relaxed cell (GGA-PBE, Alexandria)
Kinematic intensities with the Lorentz-polarization factor, no thermal factor.

Cell and atoms:
abc: 5.648 5.702 5.753
angles: 118.96 90.11 119.60
Atoms (fractional coordinates):
Pr  0.000  0.000  0.000
H  0.022  0.039  0.476
H  0.023  0.473  0.977
H  0.271  0.533  0.445
H  0.451  0.474  0.976
H  0.457  0.926  0.931
H  0.510  0.016  0.505
H  0.799  0.592  0.485
Pd  0.121  0.741  0.395
Pd  0.238  0.478  0.737
Pd  0.587  0.173  0.298
Pd  0.626  0.743  0.396
Pd  0.649  0.298  0.871

Top 10 peaks for 10° ≤ 2θ ≤ 90°, most intense first:
index  2θ (°)  intensity
-2 1 1  36.99  100
1 -1 2  36.45  91
2 0 0  38.68  75
2 -2 1  37.24  50
0 1 1  35.90  37
0 2 -1  36.68  35
1 1 -1  31.36  31
-1 1 1  30.77  31
-3 1 2  59.56  25
0 1 -2  31.10  23

***

Entry 2:
Computed PXRD pattern
Compound: Pm3Ga2Ag3
Radiation: CuKα
Structure: a DFT-relaxed cell (GGA-PBE, Alexandria)
Kinematic intensities with the Lorentz-polarization factor, no thermal factor.

Cell and atoms:
abc: 8.282 15.985 5.726
angles: 90.00 90.00 90.00
Atoms (fractional coordinates):
Pm  0.045  0.107  0.134
Pm  0.045  0.393  0.134
Pm  0.176  0.250  0.639
Pm  0.324  0.750  0.139
Pm  0.455  0.607  0.634
Pm  0.455  0.893  0.634
Pm  0.545  0.107  0.366
Pm  0.545  0.393  0.366
Pm  0.676  0.250  0.861
Pm  0.824  0.750  0.361
Pm  0.955  0.607  0.866
Pm  0.955  0.893  0.866
Ga  0.106  0.610  0.364
Ga  0.106  0.890  0.364
Ga  0.394  0.110  0.864
Ga  0.394  0.390  0.864
Ga  0.606  0.610  0.136
Ga  0.606  0.890  0.136
Ga  0.894  0.110  0.636
Ga  0.894  0.390  0.636
Ag  0.175  0.750  0.637
Ag  0.184  0.033  0.606
Ag  0.184  0.467  0.606
Ag  0.316  0.533  0.106
Ag  0.316  0.967  0.106
Ag  0.325  0.250  0.137
Ag  0.675  0.750  0.863
Ag  0.684  0.033  0.894
Ag  0.684  0.467  0.894
Ag  0.816  0.533  0.394
Ag  0.816  0.967  0.394
Ag  0.825  0.250  0.363

Top 10 peaks for 10° ≤ 2θ ≤ 90°, most intense first:
index  2θ (°)  intensity
2 4 1  34.92  100
2 4 0  31.10  93
0 6 0  33.61  74
1 3 2  37.27  66
3 0 1  36.12  60
1 0 2  33.11  53
1 4 2  40.25  50
1 4 1  29.31  42
4 0 1  46.65  39
3 0 3  58.79  26